Structure and simulated X-ray diffraction stick pattern of La4MnS6O (a DFT-relaxed cell (GGA+U, Alexandria); Cu Kα, 1.54184 Å).
Peak positions follow from Bragg's law for the DFT cell and can differ from measured ones.

Largest 6 diffraction maxima, low angle first, 15 to 90 degrees two-theta:
2θ/deg  I/Imax  hkl
25.32  100  2 0 1
26.20  24  0 0 2
34.22  51  2 0 2
35.31  40  3 0 1
37.91  39  2 2 0
45.70  29  2 0 3

Atomic structure:
a b c (Å): 9.493 9.493 6.802
angles (deg): 90.00 90.00 120.00
Fractional coordinates of all 24 atoms:
La (0.197, 0.393, 0.000)
La (0.197, 0.803, 0.000)
La (0.333, 0.667, 0.532)
La (0.393, 0.197, 0.500)
La (0.607, 0.803, 0.000)
La (0.667, 0.333, 0.032)
La (0.803, 0.197, 0.500)
La (0.803, 0.607, 0.500)
Mn (0.000, 0.000, 0.339)
Mn (0.000, 0.000, 0.839)
S (0.061, 0.530, 0.279)
S (0.118, 0.237, 0.603)
S (0.118, 0.882, 0.603)
S (0.237, 0.118, 0.103)
S (0.470, 0.530, 0.279)
S (0.470, 0.939, 0.279)
S (0.530, 0.061, 0.779)
S (0.530, 0.470, 0.779)
S (0.763, 0.882, 0.603)
S (0.882, 0.118, 0.103)
S (0.882, 0.763, 0.103)
S (0.939, 0.470, 0.779)
O (0.333, 0.667, 0.878)
O (0.667, 0.333, 0.378)